(1)
Calculated X-ray powder pattern
Compound: LiFe2P2HO8
Radiation: a wavelength of 1.5418 Å
Structure: a GGA+U-relaxed structure

Peak list (10 most intense, 5 to 70 degrees two-theta, sorted by position)
2theta	d/Å	I (rel.)	(hkl)
10.16	8.707	312	0 0 1
15.70	5.644	1000	0 1 1
20.23	4.390	901	-1 1 1
22.38	3.973	459	0 1 -2
24.20	3.678	314	1 -2 0
28.46	3.136	417	1 -1 2
28.97	3.082	614	0 2 -2
32.85	2.727	521	1 2 0
33.83	2.650	218	1 0 -3
36.65	2.452	225	2 0 0

Cell and atoms:
abc: 5.1642 8.3788 8.7899
angles: 93.06 96.07 106.79
Positions (direct):
Li1 0.0000 0.0000 0.0000
Li2 0.2766 0.6720 0.7082
Fe1 0.3521 0.2288 0.4507
Fe2 0.4041 0.7458 0.0853
Fe3 0.8722 0.9239 0.6232
Fe4 0.9240 0.4418 0.2569
P1 0.4648 0.5900 0.4249
P2 0.4901 0.0792 0.7805
P3 0.7864 0.5922 0.9272
P4 0.8142 0.0817 0.2834
H1 0.5230 0.2598 0.9796
H2 0.7545 0.4132 0.7271
O1 0.0256 0.2252 0.2166
O2 0.0303 0.7455 0.9894
O3 0.2462 0.9255 0.7190
O4 0.2565 0.4453 0.4924
O5 0.3066 0.6231 0.2730
O6 0.4069 0.1425 0.9388
O7 0.5256 0.6460 0.8934
O8 0.5344 0.2220 0.6732
O9 0.5350 0.7440 0.5430
O10 0.5642 0.1353 0.3157
O11 0.7177 0.5396 0.3932
O12 0.7398 0.9278 0.1652
O13 0.7412 0.4484 0.0331
O14 0.7514 0.0259 0.8144
O15 0.8701 0.5301 0.7683
O16 0.9714 0.0475 0.4354


(2)
Calculated X-ray powder pattern
Compound: LiFe2P2HO8
Radiation: a wavelength of 1.5418 Å
Structure: a GGA+U-relaxed structure

Peak list (10 most intense, 5 to 70 degrees two-theta, sorted by position)
2theta	d/Å	I (rel.)	(hkl)
11.73	7.543	1000	0 0 2
24.85	3.584	72	2 0 2
26.68	3.341	201	1 1 -3
27.80	3.209	161	1 1 3
30.38	2.942	65	2 0 -4
35.91	2.501	82	0 2 0
36.49	2.462	155	3 1 -1
37.06	2.426	68	1 1 5
37.35	2.408	60	3 1 1
64.92	1.436	67	3 3 -1

Cell and atoms:
abc: 8.5346 5.0019 15.1345
angles: 90.00 94.62 90.00
Positions (direct):
Li1 0.0000 0.0600 0.2500
Li2 0.0000 0.9400 0.7500
Li3 0.5000 0.1649 0.7500
Li4 0.5000 0.8351 0.2500
Fe1 0.0783 0.2435 0.9998
Fe2 0.0783 0.7565 0.4998
Fe3 0.4148 0.2436 0.9989
Fe4 0.4148 0.7564 0.4989
Fe5 0.5852 0.2436 0.5011
Fe6 0.5852 0.7564 0.0011
Fe7 0.9217 0.2435 0.5002
Fe8 0.9217 0.7565 0.0002
P1 0.2340 0.2597 0.3872
P2 0.2340 0.7403 0.8872
P3 0.2675 0.2655 0.6170
P4 0.2675 0.7345 0.1170
P5 0.7325 0.2655 0.8830
P6 0.7325 0.7345 0.3830
P7 0.7660 0.2597 0.1128
P8 0.7660 0.7403 0.6128
H1 0.2393 0.4439 0.2529
H2 0.2393 0.5561 0.7529
H3 0.7607 0.4439 0.2471
H4 0.7607 0.5561 0.7471
O1 0.0881 0.4060 0.4189
O2 0.0881 0.5940 0.9189
O3 0.1136 0.1030 0.5893
O4 0.1136 0.8970 0.0893
O5 0.2071 0.2584 0.2818
O6 0.2071 0.7416 0.7818
O7 0.2362 0.0369 0.9165
O8 0.2362 0.9631 0.4165
O9 0.2607 0.4501 0.0749
O10 0.2607 0.5499 0.5749
O11 0.2881 0.3001 0.7187
O12 0.2881 0.6999 0.2187
O13 0.3902 0.4019 0.4151
O14 0.3902 0.5981 0.9151
O15 0.4139 0.1070 0.5880
O16 0.4139 0.8930 0.0880
O17 0.5861 0.1070 0.9120
O18 0.5861 0.8930 0.4120
O19 0.6098 0.4019 0.0849
O20 0.6098 0.5981 0.5849
O21 0.7119 0.3001 0.7813
O22 0.7119 0.6999 0.2813
O23 0.7393 0.4501 0.4251
O24 0.7393 0.5499 0.9251
O25 0.7638 0.0369 0.5835
O26 0.7638 0.9631 0.0835
O27 0.7929 0.2584 0.2182
O28 0.7929 0.7416 0.7182
O29 0.8864 0.1030 0.9107
O30 0.8864 0.8970 0.4107
O31 0.9119 0.4060 0.0811
O32 0.9119 0.5940 0.5811


(3)
Calculated X-ray powder pattern
Compound: LiFe2P2HO8
Radiation: a wavelength of 1.5418 Å
Structure: a GGA+U-relaxed structure

Peak list (10 most intense, 5 to 70 degrees two-theta, sorted by position)
2theta	d/Å	I (rel.)	(hkl)
15.38	5.760	404	0 1 1
19.09	4.650	292	1 0 -1
21.12	4.207	810	1 1 0
23.88	3.727	738	0 0 2
25.84	3.447	232	0 1 2
27.19	3.280	1000	1 2 0
27.68	3.223	422	1 1 -2
31.92	2.804	255	0 3 1
32.62	2.745	440	1 2 -2
49.18	1.853	213	2 2 -3

Cell and atoms:
abc: 4.9533 9.0743 7.7765
angles: 90.00 106.57 90.00
Positions (direct):
Li1 0.2262 0.0000 0.3175
Li2 0.7738 0.5000 0.6825
Fe1 0.1499 0.6869 0.0465
Fe2 0.3248 0.3563 0.3794
Fe3 0.6752 0.8563 0.6206
Fe4 0.8501 0.1869 0.9535
P1 0.1197 0.6649 0.4630
P2 0.3603 0.4070 0.0215
P3 0.6397 0.9070 0.9785
P4 0.8803 0.1649 0.5370
H1 0.2457 0.0786 0.7758
H2 0.7543 0.5786 0.2242
O1 0.0376 0.1272 0.7455
O2 0.1064 0.1774 0.4382
O3 0.1187 0.4954 0.8932
O4 0.2333 0.2792 0.1124
O5 0.2737 0.8111 0.4582
O6 0.3243 0.5366 0.5353
O7 0.4214 0.8511 0.0673
O8 0.4898 0.5152 0.1831
O9 0.5102 0.0152 0.8169
O10 0.5786 0.3511 0.9327
O11 0.6757 0.0366 0.4647
O12 0.7263 0.3111 0.5418
O13 0.7667 0.7792 0.8876
O14 0.8813 0.9954 0.1068
O15 0.8936 0.6774 0.5618
O16 0.9624 0.6272 0.2545